Structure and theoretical XRD peak list of Ce4P (a crystal structure in Alexandria, relaxed with PBE; CuKα).

The 8 most intense peaks (5° ≤ 2θ ≤ 70°), most intense first:
(hkl)  d/Å  I/Imax
1 1 1  3.115  100
2 0 0  2.698  64
2 2 0  1.907  46
3 1 1  1.627  45
2 2 2  1.557  16
4 0 0  1.349  7
1 0 0  5.395  1
1 1 0  3.815  1

Unit cell a=5.395 b=5.395 c=5.395 alpha=90.00 beta=90.00 gamma=90.00
Space group Pm-3m (No. 221)
Asymmetric unit:
Ce (0.000, 0.000, 0.000) x1
Ce (0.000, 0.500, 0.500) x3
P (0.500, 0.500, 0.500) x1